[1]
This entry pairs a crystal structure of Pr12YTm7 with its theoretical powder diffractogram. Radiation: λ = 1.5418 Å (Cu Kα). Structure: a crystal structure in Alexandria, relaxed with PBE.

Largest 10 diffraction maxima, sorted by position, 10° ≤ 2θ ≤ 90°:
- 2θ = 27.2°, 3.283 Å, intensity 36.0
- 2θ = 29.0°, 3.078 Å, intensity 26.5
- 2θ = 29.8°, 2.996 Å, intensity 100.0
- 2θ = 30.4°, 2.938 Å, intensity 34.7
- 2θ = 32.5°, 2.752 Å, intensity 37.3
- 2θ = 32.8°, 2.732 Å, intensity 38.6
- 2θ = 34.4°, 2.610 Å, intensity 23.1
- 2θ = 39.1°, 2.306 Å, intensity 35.5
- 2θ = 39.7°, 2.271 Å, intensity 22.8
- 2θ = 46.1°, 1.970 Å, intensity 22.1

Crystal structure
Lattice parameters (Å, degrees): 11.5633 11.5633 11.5633 116.82 116.82 116.82
Sites, in units of the cell vectors:
Pr1 0.0000 0.4121 0.5879
Pr2 0.0000 0.5879 0.4121
Pr3 0.0837 0.0837 0.4352
Pr4 0.0837 0.4352 0.0837
Pr5 0.4121 0.0000 0.5879
Pr6 0.4121 0.5879 0.0000
Pr7 0.4352 0.0837 0.0837
Pr8 0.5648 0.9163 0.9163
Pr9 0.5879 0.0000 0.4121
Pr10 0.5879 0.4121 0.0000
Pr11 0.9163 0.5648 0.9163
Pr12 0.9163 0.9163 0.5648
Y1 0.5000 0.5000 0.5000
Tm1 0.0000 0.0000 0.0000
Tm2 0.1321 0.3758 0.3758
Tm3 0.3758 0.1321 0.3758
Tm4 0.3758 0.3758 0.1321
Tm5 0.6242 0.6242 0.8679
Tm6 0.6242 0.8679 0.6242
Tm7 0.8679 0.6242 0.6242

***

[2]
This entry pairs a crystal structure of Cs2CuI7 with its theoretical powder diffractogram. Radiation: λ = 1.5418 Å (Cu Kα). Structure: a crystal structure in Alexandria, relaxed with PBE.

Largest 10 diffraction maxima, sorted by position, 10° ≤ 2θ ≤ 90°:
- 2θ = 20.3°, 4.384 Å, intensity 18.7
- 2θ = 23.5°, 3.790 Å, intensity 14.7
- 2θ = 25.1°, 3.555 Å, intensity 100.0
- 2θ = 28.2°, 3.167 Å, intensity 33.0
- 2θ = 29.4°, 3.037 Å, intensity 82.4
- 2θ = 41.2°, 2.192 Å, intensity 46.6
- 2θ = 42.1°, 2.147 Å, intensity 30.6
- 2θ = 49.6°, 1.838 Å, intensity 30.4
- 2θ = 51.4°, 1.777 Å, intensity 24.2
- 2θ = 76.3°, 1.248 Å, intensity 15.6

Crystal structure
Lattice parameters (Å, degrees): 8.7759 8.7759 8.7759 121.40 121.40 87.60
Sites, in units of the cell vectors:
Cs1 0.2500 0.7500 0.5000
Cs2 0.7500 0.2500 0.5000
Cu1 0.0000 0.0000 0.0000
I1 0.1978 0.1978 0.0000
I2 0.2518 0.2518 0.5037
I3 0.2518 0.7482 0.0000
I4 0.5000 0.5000 0.0000
I5 0.7482 0.2518 0.0000
I6 0.7482 0.7482 0.4963
I7 0.8022 0.8022 0.0000